Calculated powder diffraction line list of Ca5Pr for Cu Ka, from a crystal structure in Alexandria, relaxed with PBE.
Intensities are scaled so that the largest is 100.

The 10 most intense peaks (5° ≤ 2θ ≤ 70°), sorted by position:
d/Å  2θ (°)  intensity
9.613  9.20  26
3.318  26.87  28
3.269  27.28  13
3.204  27.84  27
2.946  30.34  100
2.305  39.08  20
1.916  47.46  18
1.796  50.84  21
1.644  55.92  21
1.606  57.38  15

Structural model:
```
data_Ca5Pr
_chemical_formula_sum 'Ca5 Pr1'
_cell_length_a 3.8311
_cell_length_b 3.8311
_cell_length_c 19.2251
_cell_angle_alpha 90.00
_cell_angle_beta 90.00
_cell_angle_gamma 120.00
_space_group_name_H-M_alt 'P -6 m 2'
_space_group_IT_number 187
_space_group_name_Hall 'P -6 2'
loop_
_atom_site_label
_atom_site_type_symbol
_atom_site_fract_x
_atom_site_fract_y
_atom_site_fract_z
Ca1 Ca 0.0000 0.0000 0.0000
Ca2 Ca 0.0000 0.0000 0.3388
Ca3 Ca 0.3333 0.6667 0.1692
Pr1 Pr 0.3333 0.6667 0.5000
```